[1]
Computed PXRD pattern of Li4Mn2Ni5O12 for Cu Ka, from a DFT-relaxed cell (GGA+U, the Materials Project).

Main lines, most intense first (10° ≤ 2θ ≤ 90°):
2theta, Rel. int.
43.60, 100
44.30, 48
18.53, 46
63.58, 40
23.98, 33
37.66, 33
64.19, 27
20.12, 25
21.29, 22
37.56, 14
63.20, 13
27.48, 13

Unit cell a=5.003 b=8.828 c=9.737 alpha=90.00 beta=100.34 gamma=90.00
Space group P2_1 (No. 4)
Unique sites:
Li: 0.002 0.000 0.257 x2
Li: 0.002 0.340 0.257 x2
Li: 0.256 0.840 0.499 x2
Li: 0.497 0.010 0.744 x2
Mn: 0.249 0.179 0.498 x2
Mn: 0.249 0.675 0.003 x2
Ni: 0.006 0.683 0.256 x2
Ni: 0.251 0.004 0.004 x2
Ni: 0.252 0.507 0.503 x2
Ni: 0.255 0.342 0.999 x2
Ni: 0.489 0.673 0.745 x2
O: 0.103 0.670 0.622 x2
O: 0.107 0.025 0.615 x2
O: 0.118 0.173 0.114 x2
O: 0.125 0.833 0.116 x2
O: 0.128 0.337 0.608 x2
O: 0.132 0.521 0.119 x2
O: 0.362 0.523 0.885 x2
O: 0.363 0.830 0.883 x2
O: 0.371 0.328 0.379 x2
O: 0.380 0.164 0.888 x2
O: 0.381 0.656 0.391 x2
O: 0.390 0.024 0.388 x2

---

[2]
Computed PXRD pattern of LaVO4 for Cu Ka, from a DFT-relaxed cell (GGA+U, the Materials Project).

Main lines, most intense first (10° ≤ 2θ ≤ 90°):
2theta, Rel. int.
27.50, 100
29.82, 65
25.88, 59
44.62, 33
46.01, 30
29.50, 25
50.29, 24
20.08, 23
24.24, 22
32.34, 22
48.75, 21
34.62, 20

Unit cell a=6.804 b=7.353 c=8.463 alpha=90.00 beta=125.54 gamma=90.00
Space group P2_1/c (No. 14)
Unique sites:
La: 0.180 0.154 0.279 x4
V: 0.313 0.663 0.200 x4
O: 0.113 0.654 0.613 x4
O: 0.175 0.004 0.752 x4
O: 0.347 0.603 0.019 x4
O: 0.389 0.218 0.116 x4

---

[3]
Computed PXRD pattern of LiMnO2 for Cu Ka, from a DFT-relaxed cell (GGA+U, the Materials Project).

Main lines, most intense first (10° ≤ 2θ ≤ 90°):
2theta, Rel. int.
17.67, 100
40.62, 30
34.09, 22
36.58, 21
46.87, 15
40.48, 14
51.74, 14
63.68, 11
53.45, 11
45.43, 9
36.35, 8
61.98, 8

Unit cell a=3.132 b=4.974 c=10.147 alpha=90.00 beta=98.29 gamma=90.00
Space group Cc (No. 9)
Unique sites:
Li: 0.000 0.097 0.000 x4
Mn: 0.086 0.455 0.243 x4
O: 0.206 0.137 0.355 x4
O: 0.469 0.273 0.129 x4

---

[4]
Computed PXRD pattern of Li3MnPCO7 for Cu Ka, from a DFT-relaxed cell (GGA+U, the Materials Project).

Main lines, most intense first (10° ≤ 2θ ≤ 90°):
2theta, Rel. int.
27.04, 100
10.34, 90
26.42, 33
36.95, 30
21.42, 28
36.24, 26
25.44, 25
50.64, 22
55.76, 21
19.98, 21
22.45, 19
34.17, 19

Unit cell a=4.973 b=8.582 c=13.190 alpha=90.56 beta=90.08 gamma=94.54
Space group P1 (No. 1)
Unique sites:
Li: 0.000 0.000 0.000 x1
Li: 0.000 0.004 0.502 x1
Li: 0.002 0.007 0.723 x1
Li: 0.507 0.552 0.478 x1
Li: 0.509 0.554 0.753 x1
Li: 0.517 0.185 0.612 x1
Li: 0.519 0.181 0.104 x1
Li: 0.519 0.559 0.970 x1
Li: 0.977 0.632 0.099 x1
Li: 0.990 0.377 0.862 x1
Li: 0.991 0.373 0.362 x1
Li: 0.998 0.999 0.211 x1
Mn: 0.502 0.538 0.228 x1
Mn: 0.531 0.938 0.859 x1
Mn: 0.534 0.938 0.359 x1
Mn: 0.978 0.620 0.611 x1
P: 0.030 0.688 0.358 x1
P: 0.031 0.688 0.862 x1
P: 0.473 0.869 0.109 x1
P: 0.477 0.870 0.608 x1
C: 0.047 0.317 0.114 x1
C: 0.051 0.313 0.608 x1
C: 0.457 0.245 0.359 x1
C: 0.458 0.246 0.859 x1
O: 0.113 0.173 0.109 x1
O: 0.114 0.168 0.609 x1
O: 0.161 0.855 0.110 x1
O: 0.161 0.857 0.608 x1
O: 0.240 0.430 0.117 x1
O: 0.245 0.425 0.607 x1
O: 0.263 0.136 0.362 x1
O: 0.265 0.133 0.858 x1
O: 0.347 0.703 0.859 x1
O: 0.349 0.699 0.357 x1
O: 0.395 0.390 0.859 x1
O: 0.395 0.392 0.357 x1
O: 0.567 0.701 0.607 x1
O: 0.576 0.703 0.107 x1
O: 0.583 0.969 0.018 x1
O: 0.585 0.968 0.516 x1
O: 0.585 0.969 0.202 x1
O: 0.587 0.969 0.700 x1
O: 0.704 0.212 0.359 x1
O: 0.706 0.212 0.859 x1
O: 0.798 0.349 0.115 x1
O: 0.804 0.348 0.607 x1
O: 0.920 0.590 0.768 x1
O: 0.924 0.590 0.450 x1
O: 0.927 0.591 0.264 x1
O: 0.928 0.592 0.954 x1
O: 0.942 0.858 0.860 x1
O: 0.945 0.857 0.360 x1